[1]
Calculated powder diffraction line list
Compound: K3CrH6O6
Radiation: Cu Kα (λ = 1.5418 Å)
Structure: a crystal structure in Alexandria, relaxed with GGA+U
Lines closer than 0.1° are merged.

The 12 most intense peaks (15° ≤ 2θ ≤ 90°), sorted by position:
2θ/deg, I (rel.)
16.29, 17
18.34, 100
28.42, 61
28.87, 52
29.67, 16
35.26, 54
37.17, 17
37.95, 44
40.82, 19
40.96, 73
51.44, 15
53.41, 30

Structure:
```
K3CrH6O6
1.0
5.440 3.141 3.759
-5.440 3.141 3.759
0.000 -6.281 3.759
K Cr H O
6 2 12 12
Direct
0.129 0.750 0.371
0.250 0.629 0.871
0.371 0.129 0.750
0.629 0.871 0.250
0.750 0.371 0.129
0.871 0.250 0.629
0.000 0.000 0.000
0.500 0.500 0.500
0.082 0.120 0.331
0.120 0.331 0.082
0.169 0.380 0.418
0.331 0.082 0.120
0.380 0.418 0.169
0.418 0.169 0.380
0.582 0.831 0.620
0.620 0.582 0.831
0.669 0.918 0.880
0.831 0.620 0.582
0.880 0.669 0.918
0.918 0.880 0.669
0.042 0.903 0.736
0.097 0.264 0.958
0.236 0.403 0.542
0.264 0.958 0.097
0.403 0.542 0.236
0.458 0.764 0.597
0.542 0.236 0.403
0.597 0.458 0.764
0.736 0.042 0.903
0.764 0.597 0.458
0.903 0.736 0.042
0.958 0.097 0.264
```



[2]
Calculated powder diffraction line list
Compound: KCr3H6S2O14
Radiation: Cu Kα (λ = 1.5418 Å)
Structure: a crystal structure in Alexandria, relaxed with GGA+U
Lines closer than 0.1° are merged.

The 12 most intense peaks (15° ≤ 2θ ≤ 90°), sorted by position:
2θ/deg, I (rel.)
15.13, 17
17.20, 54
24.20, 12
28.48, 54
28.66, 100
30.54, 15
34.80, 22
38.56, 33
45.43, 33
49.57, 32
59.35, 16
60.16, 23

Structure:
```
KCr3H6S2O14
1.0
3.678 2.124 5.855
-3.678 2.124 5.855
0.000 -4.247 5.855
K Cr H S O
1 3 6 2 14
Direct
0.000 0.000 0.000
0.000 0.000 0.500
0.000 0.500 0.000
0.500 0.000 0.000
0.284 0.692 0.692
0.308 0.308 0.716
0.308 0.716 0.308
0.692 0.284 0.692
0.692 0.692 0.284
0.716 0.308 0.308
0.304 0.304 0.304
0.696 0.696 0.696
0.121 0.738 0.738
0.165 0.165 0.498
0.165 0.498 0.165
0.262 0.262 0.879
0.262 0.879 0.262
0.388 0.388 0.388
0.498 0.165 0.165
0.502 0.835 0.835
0.612 0.612 0.612
0.738 0.121 0.738
0.738 0.738 0.121
0.835 0.502 0.835
0.835 0.835 0.502
0.879 0.262 0.262
```



[3]
Calculated powder diffraction line list
Compound: K2ZnCr2H4O10
Radiation: Cu Kα (λ = 1.5418 Å)
Structure: a crystal structure in Alexandria, relaxed with GGA+U
Lines closer than 0.1° are merged.

The 12 most intense peaks (15° ≤ 2θ ≤ 90°), sorted by position:
2θ/deg, I (rel.)
15.49, 92
23.58, 21
24.18, 51
24.69, 51
26.13, 19
28.03, 100
28.63, 29
31.12, 32
32.25, 63
33.06, 25
34.18, 21
57.49, 20

Structure:
```
K2ZnCr2H4O10
1.0
7.534 -2.861 0.000
7.534 2.861 0.000
-5.365 0.000 11.438
K Zn Cr H O
4 2 4 8 20
Direct
0.037 0.699 0.957
0.301 0.963 0.543
0.699 0.037 0.457
0.963 0.301 0.043
0.142 0.858 0.750
0.858 0.142 0.250
0.242 0.533 0.291
0.467 0.758 0.209
0.533 0.242 0.791
0.758 0.467 0.709
0.067 0.328 0.365
0.193 0.505 0.602
0.328 0.067 0.865
0.495 0.807 0.898
0.505 0.193 0.102
0.672 0.933 0.135
0.807 0.495 0.398
0.933 0.672 0.635
0.027 0.684 0.611
0.056 0.849 0.337
0.151 0.944 0.163
0.174 0.434 0.342
0.198 0.471 0.146
0.316 0.973 0.889
0.375 0.548 0.840
0.434 0.174 0.842
0.452 0.625 0.660
0.471 0.198 0.646
0.529 0.802 0.354
0.548 0.375 0.340
0.566 0.826 0.158
0.625 0.452 0.160
0.684 0.027 0.111
0.802 0.529 0.854
0.826 0.566 0.658
0.849 0.056 0.837
0.944 0.151 0.663
0.973 0.316 0.389
```



[4]
Calculated powder diffraction line list
Compound: K2ZnCr4H4O16
Radiation: Cu Kα (λ = 1.5418 Å)
Structure: a crystal structure in Alexandria, relaxed with GGA+U
Lines closer than 0.1° are merged.

The 12 most intense peaks (15° ≤ 2θ ≤ 90°), sorted by position:
2θ/deg, I (rel.)
19.26, 32
24.66, 100
24.81, 56
25.21, 21
26.19, 39
26.72, 51
27.91, 51
29.37, 29
30.09, 17
35.60, 22
39.56, 18
41.80, 33

Structure:
```
K2ZnCr4H4O16
1.0
6.855 0.000 0.000
3.380 7.032 0.000
1.223 0.169 8.074
K Zn Cr H O
2 1 4 4 16
Direct
0.054 0.254 0.318
0.946 0.746 0.682
0.500 0.500 0.000
0.279 0.999 0.841
0.450 0.293 0.665
0.550 0.707 0.335
0.721 0.001 0.159
0.088 0.662 0.110
0.224 0.616 0.263
0.776 0.384 0.737
0.912 0.338 0.890
0.122 0.161 0.977
0.136 0.002 0.699
0.210 0.559 0.163
0.281 0.352 0.528
0.313 0.717 0.416
0.343 0.451 0.814
0.390 0.787 0.929
0.495 0.060 0.746
0.505 0.940 0.254
0.610 0.213 0.071
0.657 0.549 0.186
0.687 0.283 0.584
0.719 0.648 0.472
0.790 0.441 0.837
0.864 0.998 0.301
0.878 0.839 0.023
```